Starting from DFT lattice parameters and positions (PBE), the XRD peak list of HfNb3Tc was computed for Cu Kα, 1.54184 Å.
Peak positions follow from Bragg's law for the DFT cell and can differ from measured ones.

The 10 most intense peaks (2θ from 10° to 90°), low angle first:
18.00°, intensity 45; 22.97°, intensity 54; 30.68°, intensity 42; 34.97°, intensity 51; 36.46°, intensity 25; 39.36°, intensity 30; 39.73°, intensity 36; 42.26°, intensity 100; 54.68°, intensity 21; 67.73°, intensity 24

Cell and atoms:
Cell: 9.567 9.567 9.567 Å, 148.89 148.89 44.58°
Positions (direct):
Hf (0.183, 0.183, 0.000)
Hf (0.817, 0.817, 0.000)
Nb (0.371, 0.624, 0.748)
Nb (0.376, 0.124, 0.748)
Nb (0.376, 0.629, 0.252)
Nb (0.540, 0.040, 0.500)
Nb (0.876, 0.624, 0.252)
Nb (0.960, 0.460, 0.500)
Tc (0.250, 0.750, 0.500)
Tc (0.500, 0.500, 0.000)